Record 1
This entry pairs a crystal structure of CdHg4Pb with its calculated PXRD pattern. Radiation: Cu Ka. Structure: a structure optimized by DFT (GGA-PBE).
Lines closer than 0.1° are merged.

Main lines, in order of rising 2θ (15° ≤ 2θ ≤ 90°):
2θ 30.4, I = 18
2θ 31.8, I = 13
2θ 32.9, I = 20
2θ 34.0, I = 100
2θ 34.8, I = 28
2θ 41.4, I = 11
2θ 49.9, I = 11
2θ 55.7, I = 12
2θ 61.9, I = 15
2θ 62.3, I = 11

Crystal structure
Cell lengths 3.6574, 16.9096, 10.3015 Å; angles 90.00, 90.00, 90.00 degrees
Space group Cmc2_1 (No. 36)
Inequivalent atoms, fractional coordinates:
Cd 0.0000 0.2094 0.0000 (multiplicity 4)
Hg 0.0000 0.0175 0.2607 (multiplicity 4)
Hg 0.0000 0.1374 0.4905 (multiplicity 4)
Hg 0.0000 0.3197 0.7354 (multiplicity 4)
Hg 0.0000 0.4691 0.5134 (multiplicity 4)
Pb 0.0000 0.3536 0.2596 (multiplicity 4)


Record 2
This entry pairs a crystal structure of CuSe2O6F with its calculated PXRD pattern. Radiation: Cu Ka. Structure: a structure optimized by DFT (GGA-PBE).
Lines closer than 0.1° are merged.

Main lines, in order of rising 2θ (15° ≤ 2θ ≤ 90°):
2θ 16.5, I = 66
2θ 24.0, I = 100
2θ 24.3, I = 31
2θ 24.4, I = 17
2θ 24.9, I = 27
2θ 27.8, I = 39
2θ 30.6, I = 39
2θ 33.7, I = 22
2θ 35.2, I = 17
2θ 46.9, I = 19

Crystal structure
Cell lengths 11.8217, 10.1159, 6.3488 Å; angles 90.00, 120.95, 90.00 degrees
Space group C2/c (No. 15)
Inequivalent atoms, fractional coordinates:
Cu 0.0000 0.1821 0.2500 (multiplicity 4)
Se 0.2091 0.4093 0.6652 (multiplicity 8)
O 0.0680 0.3248 0.5172 (multiplicity 8)
O 0.1645 0.1972 0.2487 (multiplicity 8)
O 0.2100 0.4593 0.9968 (multiplicity 8)
F 0.0000 0.0023 0.2500 (multiplicity 4)


Record 3
This entry pairs a crystal structure of Dy3Tm3Pd4 with its calculated PXRD pattern. Radiation: Cu Ka. Structure: a structure optimized by DFT (GGA-PBE).
Lines closer than 0.1° are merged.

Main lines, in order of rising 2θ (15° ≤ 2θ ≤ 90°):
2θ 27.8, I = 25
2θ 32.4, I = 64
2θ 34.4, I = 98
2θ 34.5, I = 100
2θ 36.7, I = 52
2θ 36.9, I = 50
2θ 45.8, I = 34
2θ 60.1, I = 49
2θ 69.6, I = 15
2θ 77.3, I = 19

Crystal structure
Cell lengths 3.9652, 10.9505, 10.8830 Å; angles 90.00, 90.00, 90.00 degrees
Space group Amm2 (No. 38)
Inequivalent atoms, fractional coordinates:
Dy 0.0000 0.0000 0.0000 (multiplicity 2)
Dy 0.0000 0.1651 0.6638 (multiplicity 4)
Tm 0.0000 0.0000 0.3299 (multiplicity 2)
Tm 0.5000 0.2494 0.4140 (multiplicity 4)
Pd 0.5000 0.0000 0.5274 (multiplicity 2)
Pd 0.5000 0.0000 0.7978 (multiplicity 2)
Pd 0.5000 0.1330 0.1665 (multiplicity 4)


Record 4
This entry pairs a crystal structure of Pm3YGa4 with its calculated PXRD pattern. Radiation: Cu Ka. Structure: a structure optimized by DFT (GGA-PBE).
Lines closer than 0.1° are merged.

Main lines, in order of rising 2θ (15° ≤ 2θ ≤ 90°):
2θ 24.4, I = 10
2θ 34.8, I = 100
2θ 43.0, I = 2
2θ 50.0, I = 18
2θ 62.2, I = 9
2θ 62.4, I = 27
2θ 73.4, I = 6
2θ 73.6, I = 5
2θ 83.9, I = 8
2θ 84.0, I = 8

Crystal structure
Cell lengths 5.1489, 5.1489, 25.3236 Å; angles 90.00, 90.00, 120.00 degrees
Space group R-3m (No. 166, hexagonal axes)
Inequivalent atoms, fractional coordinates:
Pm 0.0000 0.0000 0.0000 (multiplicity 3)
Pm 0.0000 0.0000 0.2494 (multiplicity 6)
Y 0.0000 0.0000 0.5000 (multiplicity 3)
Ga 0.0000 0.0000 0.1258 (multiplicity 6)
Ga 0.0000 0.0000 0.3759 (multiplicity 6)